[1]
The following is a computed XRD peak list of PuCu2PbO8. It was derived from the PBE geometry in Alexandria, using Cu Kα (weighted mean of Kα1 and Kα2).
Lines closer than 0.1° are merged.

Top 10 peaks for 2θ from 15° to 90°, low angle first:
hkl, d [Å], 2θ (°), Rel. int.
1 0 1, 4.835, 18.3, 63
2 0 0, 3.331, 26.8, 96
1 1 2, 2.817, 31.8, 100
2 1 1, 2.743, 32.6, 18
2 2 0, 2.355, 38.2, 25
3 1 2, 1.807, 50.5, 69
2 0 4, 1.554, 59.5, 20
3 3 2, 1.434, 65.1, 19
5 1 2, 1.225, 78.0, 15
1 1 6, 1.137, 85.4, 21

Crystal structure
```
data_PuCu2PbO8
_chemical_formula_sum 'Pu2 Cu4 Pb2 O16'
_symmetry_space_group_name_H-M 'I -4 m 2'
_symmetry_Int_Tables_number 119
_symmetry_space_group_name_Hall 'I -4 -2'
_cell_length_a 6.662
_cell_length_b 6.662
_cell_length_c 7.030
_cell_angle_alpha 90.00
_cell_angle_beta 90.00
_cell_angle_gamma 90.00
loop_
_atom_site_label
_atom_site_fract_x
_atom_site_fract_y
_atom_site_fract_z
_atom_site_occupancy
Pu1 0.000 0.000 0.000 1
Cu1 0.000 0.000 0.500 1
Cu2 0.000 0.500 0.750 1
Pb1 0.000 0.500 0.250 1
O1 0.000 0.175 0.295 1
O2 0.000 0.294 0.946 1
```

***

[2]
The following is a computed XRD peak list of Ho6Er12Zr. It was derived from the PBE geometry in Alexandria, using Cu Kα (weighted mean of Kα1 and Kα2).
Lines closer than 0.1° are merged.

Top 10 peaks for 2θ from 15° to 90°, low angle first:
hkl, d [Å], 2θ (°), Rel. int.
1 3 1, 3.022, 29.6, 18
1 0 4, 2.979, 30.0, 48
3 1 2, 2.783, 32.2, 48
0 3 3, 2.771, 32.3, 69
4 0 1, 2.739, 32.7, 100
0 4 2, 2.557, 35.1, 34
2 2 3, 2.549, 35.2, 24
3 2 1, 2.524, 35.6, 25
4 4 0, 1.622, 56.8, 21
4 3 4, 1.586, 58.2, 23

Crystal structure
```
data_Ho6Er12Zr
_chemical_formula_sum 'Ho18 Er36 Zr3'
_symmetry_space_group_name_H-M 'R -3 m'
_symmetry_Int_Tables_number 166
_symmetry_space_group_name_Hall '-R 3 2"'
_cell_length_a 12.9756
_cell_length_b 12.9756
_cell_length_c 12.3577
_cell_angle_alpha 90.00
_cell_angle_beta 90.00
_cell_angle_gamma 120.00
loop_
_atom_site_label
_atom_site_fract_x
_atom_site_fract_y
_atom_site_fract_z
_atom_site_occupancy
Ho1 0.0458 0.5229 0.1207 1
Er1 0.0000 0.2557 0.0000 1
Er2 0.0897 0.1795 0.7603 1
Zr1 0.0000 0.0000 0.5000 1
```

***

[3]
The following is a computed XRD peak list of KIrAu. It was derived from the PBE geometry in Alexandria, using Cu Kα (weighted mean of Kα1 and Kα2).
Lines closer than 0.1° are merged.

Top 10 peaks for 2θ from 15° to 90°, low angle first:
hkl, d [Å], 2θ (°), Rel. int.
0 1 1, 4.940, 18.0, 91
1 0 1, 4.276, 20.8, 75
1 2 1, 2.531, 35.5, 72
0 2 2, 2.470, 36.4, 100
1 0 3, 2.359, 38.1, 31
2 1 1, 2.251, 40.1, 48
2 0 2, 2.138, 42.3, 64
2 2 0, 1.970, 46.1, 41
2 2 4, 1.404, 66.6, 41
4 0 0, 1.265, 75.1, 31

Crystal structure
```
data_KIrAu
_chemical_formula_sum 'K4 Ir4 Au4'
_symmetry_space_group_name_H-M 'I m m a'
_symmetry_Int_Tables_number 74
_symmetry_space_group_name_Hall '-I 2b 2'
_cell_length_a 5.058
_cell_length_b 6.280
_cell_length_c 8.001
_cell_angle_alpha 90.00
_cell_angle_beta 90.00
_cell_angle_gamma 90.00
loop_
_atom_site_label
_atom_site_fract_x
_atom_site_fract_y
_atom_site_fract_z
_atom_site_occupancy
K1 0.000 0.250 0.133 1
Ir1 0.250 0.250 0.750 1
Au1 0.000 0.000 0.500 1
```

***

[4]
The following is a computed XRD peak list of K4Rb3Hg3O2. It was derived from the PBE geometry in Alexandria, using Cu Kα (weighted mean of Kα1 and Kα2).
Lines closer than 0.1° are merged.

Top 10 peaks for 2θ from 15° to 90°, low angle first:
hkl, d [Å], 2θ (°), Rel. int.
1 0 5, 3.973, 22.4, 45
1 1 0, 3.921, 22.7, 44
1 1 4, 3.460, 25.7, 52
1 1 6, 3.063, 29.2, 100
0 0 10, 2.943, 30.4, 34
0 2 0, 2.860, 31.3, 38
2 0 0, 2.692, 33.3, 32
0 2 10, 2.051, 44.2, 24
2 2 0, 1.960, 46.3, 25
1 1 16, 1.666, 55.1, 31

Crystal structure
```
data_K4Rb3Hg3O2
_chemical_formula_sum 'K8 Rb6 Hg6 O4'
_symmetry_space_group_name_H-M 'I m m m'
_symmetry_Int_Tables_number 71
_symmetry_space_group_name_Hall '-I 2 2'
_cell_length_a 5.384
_cell_length_b 5.721
_cell_length_c 29.432
_cell_angle_alpha 90.00
_cell_angle_beta 90.00
_cell_angle_gamma 90.00
loop_
_atom_site_label
_atom_site_fract_x
_atom_site_fract_y
_atom_site_fract_z
_atom_site_occupancy
K1 0.000 0.000 0.097 1
K2 0.000 0.500 0.313 1
Rb1 0.000 0.000 0.403 1
Rb2 0.000 0.500 0.500 1
Hg1 0.000 0.500 0.000 1
Hg2 0.000 0.500 0.191 1
O1 0.000 0.500 0.400 1
```

***

[5]
The following is a computed XRD peak list of Rb3LiPb4. It was derived from the PBE geometry in Alexandria, using Cu Kα (weighted mean of Kα1 and Kα2).
Lines closer than 0.1° are merged.

Top 10 peaks for 2θ from 15° to 90°, low angle first:
hkl, d [Å], 2θ (°), Rel. int.
2 0 1, 3.183, 28.0, 68
2 2 0, 3.163, 28.2, 38
1 0 2, 3.150, 28.3, 51
0 2 2, 3.120, 28.6, 49
0 4 1, 3.064, 29.1, 75
2 2 1, 2.883, 31.0, 100
1 4 1, 2.815, 31.8, 64
2 0 2, 2.503, 35.9, 36
2 4 0, 2.463, 36.5, 58
2 4 3, 1.697, 54.0, 57

Crystal structure
```
data_Rb3LiPb4
_chemical_formula_sum 'Rb6 Li2 Pb8'
_symmetry_space_group_name_H-M 'P m m n'
_symmetry_Int_Tables_number 59
_cell_length_a 7.142
_cell_length_b 13.619
_cell_length_c 7.020
_cell_angle_alpha 90.00
_cell_angle_beta 90.00
_cell_angle_gamma 90.00
loop_
_symmetry_equiv_pos_as_xyz
'x,y,z'
'-x,-y,-z'
'-x+1/2,-y+1/2,z'
'x+1/2,y+1/2,-z'
'x+1/2,-y,-z'
'-x+1/2,y,z'
'-x,y+1/2,-z'
'x,-y+1/2,z'
loop_
_atom_site_label
_atom_site_fract_x
_atom_site_fract_y
_atom_site_fract_z
_atom_site_occupancy
Rb1 0.250 0.003 0.170 1
Rb2 0.250 0.250 0.540 1
Li1 0.250 0.750 0.314 1
Pb1 0.016 0.750 0.964 1
Pb2 0.250 0.632 0.668 1
```

***

[6]
The following is a computed XRD peak list of GdHoZrIn. It was derived from the PBE geometry in Alexandria, using Cu Kα (weighted mean of Kα1 and Kα2).
Lines closer than 0.1° are merged.

Top 10 peaks for 2θ from 15° to 90°, low angle first:
hkl, d [Å], 2θ (°), Rel. int.
2 0 0, 3.780, 23.5, 5
2 2 0, 2.673, 33.5, 100
2 2 2, 2.183, 41.4, 2
4 0 0, 1.890, 48.1, 18
4 2 0, 1.691, 54.3, 2
4 2 2, 1.543, 59.9, 37
4 4 0, 1.337, 70.5, 11
6 0 0, 1.260, 75.4, 1
6 2 0, 1.195, 80.3, 16
4 4 4, 1.091, 89.9, 4

Crystal structure
```
data_GdHoZrIn
_chemical_formula_sum 'Gd4 Ho4 Zr4 In4'
_symmetry_space_group_name_H-M 'F -4 3 m'
_symmetry_Int_Tables_number 216
_symmetry_space_group_name_Hall 'F -4 2 3'
_cell_length_a 7.561
_cell_length_b 7.561
_cell_length_c 7.561
_cell_angle_alpha 90.00
_cell_angle_beta 90.00
_cell_angle_gamma 90.00
loop_
_atom_site_label
_atom_site_fract_x
_atom_site_fract_y
_atom_site_fract_z
_atom_site_occupancy
Gd1 0.000 0.000 0.000 1
Ho1 0.000 0.000 0.500 1
Zr1 0.250 0.250 0.750 1
In1 0.250 0.250 0.250 1
```